Record 1
Diffraction record for Na2PmCrS4. The X-ray diffraction stick pattern is simulated, not measured: it uses DFT lattice parameters and positions (GGA-PBE) and copper Kα.

Main lines, by intensity (10° ≤ 2θ ≤ 90°):
- 32.32 deg, d 2.770, I 100, (1 1 1)
- 13.26 deg, d 6.677, I 68, (0 0 1)
- 45.20 deg, d 2.006, I 23, (1 1 -3)
- 47.50 deg, d 1.914, I 21, (3 1 -1)
- 41.64 deg, d 2.169, I 16, (2 0 -3)
- 27.12 deg, d 3.288, I 15, (1 1 0)
- 26.68 deg, d 3.341, I 14, (0 0 2)
- 47.06 deg, d 1.931, I 13, (0 2 0)

Cell and atoms:
Lattice parameters (Å, degrees): 6.612 3.863 7.048 90.00 108.66 90.00
Space group P2/m (No. 10)
Unique sites:
Na (0.000, 0.000, 0.000) x1
Na (0.500, 0.500, 0.000) x1
Pm (0.000, 0.500, 0.500) x1
Cr (0.500, 0.000, 0.500) x1
S (0.273, 0.000, 0.725) x2
S (0.295, 0.500, 0.293) x2

Record 2
Diffraction record for CuSnB. The X-ray diffraction stick pattern is simulated, not measured: it uses DFT lattice parameters and positions (GGA-PBE) and copper Kα.

Main lines, by intensity (10° ≤ 2θ ≤ 90°):
- 30.66 deg, d 2.916, I 100, (2 0 0)
- 36.31 deg, d 2.474, I 73, (0 2 1)
- 37.92 deg, d 2.373, I 69, (2 2 -1)
- 47.63 deg, d 1.909, I 53, (1 5 0)
- 17.56 deg, d 5.051, I 36, (0 2 0)
- 35.55 deg, d 2.526, I 35, (0 4 0)
- 41.90 deg, d 2.156, I 31, (1 1 1)
- 44.73 deg, d 2.026, I 23, (3 1 -1)

Cell and atoms:
Lattice parameters (Å, degrees): 6.451 10.103 3.139 90.00 115.31 90.00
Space group Cc (No. 9)
Unique sites:
Cu (0.000, 0.105, 0.000) x4
Sn (0.129, 0.329, 0.644) x4
B (0.296, 0.021, 0.876) x4

Record 3
Diffraction record for Zr5H4. The X-ray diffraction stick pattern is simulated, not measured: it uses DFT lattice parameters and positions (GGA-PBE) and copper Kα.

Main lines, by intensity (10° ≤ 2θ ≤ 90°):
- 34.50 deg, d 2.600, I 100, (0 2 1)
- 33.63 deg, d 2.665, I 53, (0 4 0)
- 40.67 deg, d 2.218, I 46, (3 3 0)
- 32.64 deg, d 2.743, I 39, (3 1 0)
- 44.92 deg, d 2.018, I 36, (3 1 1)
- 26.80 deg, d 3.327, I 32, (2 2 0)
- 20.86 deg, d 4.259, I 29, (2 0 0)
- 51.37 deg, d 1.779, I 21, (3 3 1)

Cell and atoms:
Lattice parameters (Å, degrees): 8.517 10.658 2.978 90.00 90.00 90.00
Space group Cmmm (No. 65)
Unique sites:
Zr (0.000, 0.000, 0.000) x2
Zr (0.000, 0.255, 0.500) x4
Zr (0.167, 0.500, 0.000) x4
H (0.152, 0.095, 0.500) x8

Record 4
Diffraction record for Ce3NF6. The X-ray diffraction stick pattern is simulated, not measured: it uses DFT lattice parameters and positions (GGA-PBE) and copper Kα.

Main lines, by intensity (10° ≤ 2θ ≤ 90°):
- 24.91 deg, d 3.575, I 100, (4 0 -1)
- 27.36 deg, d 3.259, I 73, (1 1 -1)
- 43.64 deg, d 2.074, I 53, (5 1 -2)
- 29.94 deg, d 2.984, I 45, (3 1 0)
- 52.96 deg, d 1.729, I 36, (4 2 -1)
- 48.78 deg, d 1.867, I 34, (7 1 -1)
- 45.95 deg, d 1.975, I 18, (0 2 0)
- 31.00 deg, d 2.884, I 16, (2 0 -2)

Cell and atoms:
Lattice parameters (Å, degrees): 14.828 3.950 5.769 90.00 112.85 90.00
Space group Cm (No. 8)
Unique sites:
Ce (0.000, 0.000, 0.000) x2
Ce (0.153, 0.500, 0.577) x2
Ce (0.307, 0.000, 0.306) x2
N (0.153, 0.000, 0.308) x2
F (0.060, 0.000, 0.677) x2
F (0.246, 0.000, 0.864) x2
F (0.313, 0.500, 0.567) x2
F (0.360, 0.500, 0.154) x2
F (0.446, 0.000, 0.741) x2
F (0.493, 0.000, 0.247) x2

Record 5
Diffraction record for Ho3AsSeS. The X-ray diffraction stick pattern is simulated, not measured: it uses DFT lattice parameters and positions (GGA-PBE) and copper Kα.

Main lines, by intensity (10° ≤ 2θ ≤ 90°):
- 32.65 deg, d 2.743, I 100, (2 0 -2)
- 38.14 deg, d 2.359, I 93, (0 6 0)
- 24.90 deg, d 3.576, I 78, (1 3 -1)
- 23.83 deg, d 3.733, I 74, (1 1 1)
- 29.87 deg, d 2.992, I 65, (1 3 1)
- 30.87 deg, d 2.896, I 61, (2 2 0)
- 31.08 deg, d 2.878, I 60, (0 2 2)
- 51.09 deg, d 1.788, I 49, (2 6 -2)

Cell and atoms:
Lattice parameters (Å, degrees): 6.740 14.144 6.688 90.00 109.59 90.00
Space group C2/c (No. 15)
Unique sites:
Ho (0.000, 0.245, 0.250) x4
Ho (0.247, 0.077, 0.001) x8
As (0.000, 0.435, 0.250) x4
Se (0.000, 0.250, 0.750) x4
S (0.000, 0.057, 0.250) x4

Record 6
Diffraction record for La5NdRh4. The X-ray diffraction stick pattern is simulated, not measured: it uses DFT lattice parameters and positions (GGA-PBE) and copper Kα.

Main lines, by intensity (10° ≤ 2θ ≤ 90°):
- 30.59 deg, d 2.923, I 100, (1 1 -2)
- 31.25 deg, d 2.863, I 50, (6 0 0)
- 45.24 deg, d 2.004, I 45, (5 1 2)
- 43.34 deg, d 2.088, I 39, (7 1 -2)
- 42.32 deg, d 2.136, I 22, (0 2 0)
- 53.54 deg, d 1.712, I 22, (6 2 0)
- 26.03 deg, d 3.423, I 17, (3 1 0)
- 54.40 deg, d 1.686, I 10, (8 0 -4)

Cell and atoms:
Lattice parameters (Å, degrees): 17.881 4.271 8.028 90.00 106.15 90.00
Space group C2/m (No. 12)
Unique sites:
La (0.000, 0.000, 0.000) x2
La (0.164, 0.500, 0.361) x4
La (0.165, 0.500, 0.846) x4
Nd (0.000, 0.000, 0.500) x2
Rh (0.000, 0.500, 0.234) x4
Rh (0.177, 0.000, 0.625) x4